No. 1
Cs3DyGa2S6: computed X-ray powder pattern (CuKα), based on a structure optimized by DFT (PBE).
No peak broadening, texture or thermal motion is included.

Main lines, sorted by position (5 to 70 degrees two-theta):
- 9.5°, d = 9.288 Å, I 35.1, (0 0 1)
- 23.6°, d = 3.765 Å, I 94.6, (1 0 2)
- 24.0°, d = 3.714 Å, I 100.0, (1 1 0)
- 29.4°, d = 3.039 Å, I 23.3, (0 2 1)
- 33.9°, d = 2.644 Å, I 60.9, (2 0 2)
- 40.4°, d = 2.231 Å, I 15.3, (0 2 3)
- 41.9°, d = 2.154 Å, I 44.0, (2 1 2)
- 42.1°, d = 2.144 Å, I 22.5, (3 0 0)
- 49.1°, d = 1.857 Å, I 32.1, (2 2 0)
- 55.2°, d = 1.665 Å, I 18.7, (1 3 2)

Structural model:
Cell: 7.4273 7.4273 9.2884 Å, 90.00 90.00 120.00°
Space group P-3m1 (No. 164)
Symmetry-distinct sites (fractional):
Cs: 0.0000 0.0000 0.0000 x1
Cs: 0.3333 0.6667 0.7131 x2
Dy: 0.0000 0.0000 0.5000 x1
Ga: 0.3333 0.6667 0.3188 x2
S: 0.1630 0.3259 0.3061 x6

***

No. 2
Sr3LaAs: computed X-ray powder pattern (CuKα), based on a structure optimized by DFT (PBE).
No peak broadening, texture or thermal motion is included.

Main lines, sorted by position (5 to 70 degrees two-theta):
- 20.7°, d = 4.296 Å, I 33.2, (1 1 0)
- 25.4°, d = 3.507 Å, I 88.4, (1 1 1)
- 29.4°, d = 3.037 Å, I 100.0, (2 0 0)
- 36.2°, d = 2.480 Å, I 15.7, (2 1 1)
- 42.1°, d = 2.148 Å, I 74.8, (2 2 0)
- 49.8°, d = 1.832 Å, I 41.8, (3 1 1)
- 52.2°, d = 1.754 Å, I 26.4, (2 2 2)
- 61.0°, d = 1.519 Å, I 12.3, (4 0 0)
- 67.2°, d = 1.394 Å, I 17.0, (3 3 1)
- 69.2°, d = 1.358 Å, I 33.9, (4 2 0)

Structural model:
Cell: 6.075 6.075 6.075 Å, 90.00 90.00 90.00°
Space group Pm-3m (No. 221)
Symmetry-distinct sites (fractional):
Sr: 0.000 0.000 0.500 x3
La: 0.500 0.500 0.500 x1
As: 0.000 0.000 0.000 x1

***

No. 3
LiCo4As2: computed X-ray powder pattern (CuKα), based on a structure optimized by DFT (PBE).
No peak broadening, texture or thermal motion is included.

Main lines, sorted by position (5 to 70 degrees two-theta):
- 10.4°, d = 8.512 Å, I 100.0, (0 0 2)
- 20.9°, d = 4.256 Å, I 12.3, (0 0 4)
- 36.8°, d = 2.445 Å, I 9.0, (1 1 0)
- 37.1°, d = 2.426 Å, I 5.9, (1 0 5)
- 38.3°, d = 2.350 Å, I 4.5, (1 1 2)
- 42.5°, d = 2.128 Å, I 12.4, (0 0 8)
- 42.6°, d = 2.120 Å, I 64.7, (1 1 4)
- 49.2°, d = 1.852 Å, I 18.5, (1 1 6)
- 53.0°, d = 1.729 Å, I 19.5, (2 0 0)
- 54.1°, d = 1.695 Å, I 5.7, (2 0 2)

Structural model:
Cell: 3.458 3.458 17.024 Å, 90.00 90.00 90.00°
Space group I4/mmm (No. 139)
Symmetry-distinct sites (fractional):
Li: 0.000 0.000 0.000 x2
Co: 0.000 0.000 0.149 x4
Co: 0.000 0.500 0.250 x4
As: 0.000 0.000 0.371 x4

***

No. 4
MnNb2Pd7: computed X-ray powder pattern (CuKα), based on a structure optimized by DFT (PBE).
No peak broadening, texture or thermal motion is included.

Main lines, sorted by position (5 to 70 degrees two-theta):
- 24.2°, d = 3.671 Å, I 31.0, (2 2 0)
- 31.4°, d = 2.845 Å, I 34.2, (2 4 0)
- 32.3°, d = 2.770 Å, I 25.5, (0 0 1)
- 34.6°, d = 2.592 Å, I 32.6, (1 1 1)
- 39.1°, d = 2.306 Å, I 21.2, (2 0 1)
- 40.9°, d = 2.205 Å, I 100.0, (2 6 0)
- 43.5°, d = 2.080 Å, I 44.5, (4 0 0)
- 45.1°, d = 2.010 Å, I 54.0, (1 5 1)
- 46.7°, d = 1.945 Å, I 43.2, (3 1 1)
- 53.1°, d = 1.725 Å, I 25.5, (2 6 1)

Structural model:
Cell: 8.321 15.598 2.770 Å, 90.00 90.00 90.00°
Space group Cmmm (No. 65)
Symmetry-distinct sites (fractional):
Mn: 0.000 0.000 0.000 x2
Nb: 0.000 0.331 0.500 x4
Pd: 0.000 0.187 0.000 x4
Pd: 0.000 0.500 0.500 x2
Pd: 0.225 0.093 0.500 x8

***

No. 5
PmPr2Te2Se2: computed X-ray powder pattern (CuKα), based on a structure optimized by DFT (PBE).
No peak broadening, texture or thermal motion is included.

Main lines, sorted by position (5 to 70 degrees two-theta):
- 11.0°, d = 8.040 Å, I 20.1, (0 0 2)
- 23.1°, d = 3.849 Å, I 80.1, (1 1 0)
- 32.2°, d = 2.780 Å, I 19.8, (1 1 4)
- 32.3°, d = 2.769 Å, I 100.0, (1 0 5)
- 32.9°, d = 2.722 Å, I 85.1, (2 0 0)
- 46.8°, d = 1.941 Å, I 71.2, (2 1 5)
- 47.2°, d = 1.924 Å, I 30.8, (2 2 0)
- 53.2°, d = 1.721 Å, I 17.2, (3 1 0)
- 58.4°, d = 1.581 Å, I 25.4, (3 0 5)
- 68.7°, d = 1.367 Å, I 22.4, (3 2 5)

Structural model:
Cell: 5.443 5.443 16.080 Å, 90.00 90.00 90.00°
Space group I4/mmm (No. 139)
Symmetry-distinct sites (fractional):
Pm: 0.000 0.000 0.000 x2
Pr: 0.000 0.000 0.383 x4
Te: 0.000 0.000 0.190 x4
Se: 0.000 0.500 0.000 x4

***

No. 6
Li12InHg3: computed X-ray powder pattern (CuKα), based on a structure optimized by DFT (PBE).
No peak broadening, texture or thermal motion is included.

Main lines, sorted by position (5 to 70 degrees two-theta):
- 21.2°, d = 4.190 Å, I 100.0, (1 0 0)
- 21.6°, d = 4.106 Å, I 47.6, (0 0 4)
- 30.2°, d = 2.963 Å, I 42.7, (1 1 0)
- 30.5°, d = 2.933 Å, I 83.0, (1 0 4)
- 37.4°, d = 2.403 Å, I 60.4, (1 1 4)
- 43.2°, d = 2.095 Å, I 20.3, (2 0 0)
- 48.6°, d = 1.874 Å, I 23.2, (2 1 0)
- 48.8°, d = 1.866 Å, I 22.9, (2 0 4)
- 49.4°, d = 1.844 Å, I 21.9, (1 0 8)
- 53.8°, d = 1.705 Å, I 34.4, (2 1 4)

Structural model:
Cell: 4.190 4.190 16.424 Å, 90.00 90.00 90.00°
Space group P4/mmm (No. 123)
Symmetry-distinct sites (fractional):
Li: 0.000 0.000 0.000 x1
Li: 0.000 0.000 0.246 x2
Li: 0.000 0.000 0.500 x1
Li: 0.000 0.500 0.123 x4
Li: 0.000 0.500 0.370 x4
In: 0.500 0.500 0.500 x1
Hg: 0.500 0.500 0.000 x1
Hg: 0.500 0.500 0.248 x2

***

No. 7
Na12In3Hg: computed X-ray powder pattern (CuKα), based on a structure optimized by DFT (PBE).
No peak broadening, texture or thermal motion is included.

Main lines, sorted by position (5 to 70 degrees two-theta):
- 17.8°, d = 4.982 Å, I 56.0, (1 0 0)
- 18.4°, d = 4.832 Å, I 29.4, (0 0 4)
- 25.3°, d = 3.523 Å, I 24.6, (1 1 0)
- 25.7°, d = 3.469 Å, I 48.9, (1 0 4)
- 31.4°, d = 2.847 Å, I 100.0, (1 1 4)
- 36.1°, d = 2.491 Å, I 34.4, (2 0 0)
- 37.2°, d = 2.416 Å, I 17.0, (0 0 8)
- 44.8°, d = 2.023 Å, I 21.6, (2 1 4)
- 52.8°, d = 1.735 Å, I 22.9, (2 0 8)
- 61.9°, d = 1.498 Å, I 26.7, (3 1 4)

Structural model:
Cell: 4.982 4.982 19.333 Å, 90.00 90.00 90.00°
Space group P4/mmm (No. 123)
Symmetry-distinct sites (fractional):
Na: 0.000 0.000 0.000 x1
Na: 0.000 0.000 0.248 x2
Na: 0.000 0.000 0.500 x1
Na: 0.000 0.500 0.123 x4
Na: 0.000 0.500 0.375 x4
In: 0.500 0.500 0.249 x2
In: 0.500 0.500 0.500 x1
Hg: 0.500 0.500 0.000 x1

***

No. 8
CsVP2S8: computed X-ray powder pattern (CuKα), based on a structure optimized by DFT (PBE).
No peak broadening, texture or thermal motion is included.

Main lines, sorted by position (5 to 70 degrees two-theta):
- 17.4°, d = 5.088 Å, I 20.3, (0 0 6)
- 20.8°, d = 4.271 Å, I 100.0, (1 0 4)
- 29.1°, d = 3.068 Å, I 17.1, (0 1 8)
- 30.0°, d = 2.974 Å, I 23.9, (1 1 0)
- 31.3°, d = 2.855 Å, I 45.9, (2 -1 3)
- 34.1°, d = 2.628 Å, I 18.8, (1 0 10)
- 34.9°, d = 2.568 Å, I 38.9, (1 1 6)
- 36.8°, d = 2.441 Å, I 21.2, (0 2 4)
- 48.2°, d = 1.887 Å, I 18.9, (2 1 4)
- 53.4°, d = 1.717 Å, I 24.8, (3 0 0)

Structural model:
Cell: 5.9481 5.9481 30.5580 Å, 90.00 90.00 120.00°
Space group R-3 (No. 148, hexagonal axes)
Symmetry-distinct sites (fractional):
Cs: 0.0000 0.0000 0.0000 x3
V: 0.0000 0.0000 0.5000 x3
P: 0.0000 0.0000 0.2303 x6
S: 0.0000 0.0000 0.2953 x6
S: 0.0012 0.6712 0.5427 x18

***

No. 9
Cs4Dy3ThSe8: computed X-ray powder pattern (CuKα), based on a structure optimized by DFT (PBE).
No peak broadening, texture or thermal motion is included.

Main lines, sorted by position (5 to 70 degrees two-theta):
- 10.5°, d = 8.412 Å, I 17.7, (0 0 3)
- 21.1°, d = 4.206 Å, I 12.3, (0 0 6)
- 25.1°, d = 3.553 Å, I 15.0, (2 0 2)
- 27.9°, d = 3.193 Å, I 100.0, (0 2 4)
- 37.5°, d = 2.401 Å, I 34.4, (2 0 8)
- 42.3°, d = 2.138 Å, I 35.6, (2 2 0)
- 43.4°, d = 2.085 Å, I 10.8, (0 2 10)
- 51.4°, d = 1.777 Å, I 18.3, (4 0 4)
- 61.9°, d = 1.499 Å, I 10.0, (2 2 12)
- 68.7°, d = 1.366 Å, I 15.4, (2 4 4)

Structural model:
Cell: 8.5514 8.5514 25.2351 Å, 90.00 90.00 120.00°
Space group R-3m (No. 166, hexagonal axes)
Symmetry-distinct sites (fractional):
Cs: 0.0000 0.0000 0.0000 x3
Cs: 0.0000 0.5000 0.0000 x9
Dy: 0.0000 0.5000 0.5000 x9
Th: 0.0000 0.0000 0.5000 x3
Se: 0.0000 0.0000 0.2283 x6
Se: 0.0026 0.5013 0.7706 x18